(1)
This entry pairs a crystal structure of Hf6Be15Cu8 with its theoretical PXRD pattern. Radiation: Cu Ka. Structure: a structure optimized by DFT (PBE).
Peak positions follow from Bragg's law for the DFT cell and can differ from measured ones.

Atomic structure:
a = 7.8245 Å, b = 7.8245 Å, c = 7.8245 Å
α = 60.00°, β = 60.00°, γ = 60.00°
Positions (direct):
Hf1 0.2021 0.2021 0.7979
Hf2 0.2021 0.7979 0.2021
Hf3 0.2021 0.7979 0.7979
Hf4 0.7979 0.2021 0.2021
Hf5 0.7979 0.2021 0.7979
Hf6 0.7979 0.7979 0.2021
Be1 0.0000 0.0000 0.5000
Be2 0.0000 0.5000 0.0000
Be3 0.0000 0.5000 0.5000
Be4 0.1758 0.1758 0.1758
Be5 0.1758 0.1758 0.4727
Be6 0.1758 0.4727 0.1758
Be7 0.4727 0.1758 0.1758
Be8 0.5000 0.0000 0.0000
Be9 0.5000 0.0000 0.5000
Be10 0.5000 0.5000 0.0000
Be11 0.5000 0.5000 0.5000
Be12 0.5273 0.8242 0.8242
Be13 0.8242 0.5273 0.8242
Be14 0.8242 0.8242 0.5273
Be15 0.8242 0.8242 0.8242
Cu1 0.1304 0.6232 0.6232
Cu2 0.3768 0.3768 0.3768
Cu3 0.3768 0.3768 0.8696
Cu4 0.3768 0.8696 0.3768
Cu5 0.6232 0.1304 0.6232
Cu6 0.6232 0.6232 0.1304
Cu7 0.6232 0.6232 0.6232
Cu8 0.8696 0.3768 0.3768

Main lines, sorted by position (2θ = 10–80°):
2θ = 16.02°, I = 54; 2θ = 27.93°, I = 93; 2θ = 35.36°, I = 83; 2θ = 39.91°, I = 34; 2θ = 42.45°, I = 100; 2θ = 46.42°, I = 73; 2θ = 59.67°, I = 21; 2θ = 60.32°, I = 16; 2θ = 64.71°, I = 21; 2θ = 69.54°, I = 32; 2θ = 72.48°, I = 25; 2θ = 74.22°, I = 19

***

(2)
This entry pairs a crystal structure of TiNb2Zn2O8 with its theoretical PXRD pattern. Radiation: Cu Ka. Structure: a structure optimized by DFT (PBE).
Peak positions follow from Bragg's law for the DFT cell and can differ from measured ones.

Atomic structure:
a = 10.1385 Å, b = 10.1385 Å, c = 5.2964 Å
α = 90.42°, β = 90.42°, γ = 34.01°
Positions (direct):
Ti1 0.1331 0.8669 0.7500
Ti2 0.8669 0.1331 0.2500
Nb1 0.2390 0.5331 0.2300
Nb2 0.4669 0.7610 0.2700
Nb3 0.5331 0.2390 0.7300
Nb4 0.7610 0.4669 0.7700
Zn1 0.0692 0.3715 0.2655
Zn2 0.3715 0.0692 0.7655
Zn3 0.6285 0.9308 0.2345
Zn4 0.9308 0.6285 0.7345
O1 0.0424 0.3435 0.6430
O2 0.0665 0.8239 0.0794
O3 0.1761 0.9335 0.4206
O4 0.2185 0.4265 0.9265
O5 0.2980 0.5716 0.5873
O6 0.3435 0.0424 0.1430
O7 0.4265 0.2185 0.4265
O8 0.4284 0.7020 0.9127
O9 0.5716 0.2980 0.0873
O10 0.5735 0.7815 0.5735
O11 0.6565 0.9576 0.8570
O12 0.7020 0.4284 0.4127
O13 0.7815 0.5735 0.0735
O14 0.8239 0.0665 0.5794
O15 0.9335 0.1761 0.9206
O16 0.9576 0.6565 0.3570

Main lines, sorted by position (2θ = 10–80°):
2θ = 22.98°, I = 23; 2θ = 27.48°, I = 92; 2θ = 32.26°, I = 100; 2θ = 32.45°, I = 69; 2θ = 33.85°, I = 65; 2θ = 34.67°, I = 97; 2θ = 44.00°, I = 32; 2θ = 51.57°, I = 22; 2θ = 51.78°, I = 30; 2θ = 51.92°, I = 39; 2θ = 59.45°, I = 31; 2θ = 61.09°, I = 39

***

(3)
This entry pairs a crystal structure of Sr2Ti2O5 with its theoretical PXRD pattern. Radiation: Cu Ka. Structure: a structure optimized by DFT (PBE).
Peak positions follow from Bragg's law for the DFT cell and can differ from measured ones.

Atomic structure:
a = 5.5744 Å, b = 5.5744 Å, c = 3.9400 Å
α = 90.00°, β = 90.00°, γ = 90.98°
Positions (direct):
Sr1 0.2465 0.7535 0.0000
Sr2 0.7535 0.2465 0.0000
Ti1 0.2496 0.2496 0.5000
Ti2 0.7504 0.7504 0.5000
O1 0.0000 0.0000 0.5000
O2 0.0000 0.5000 0.5000
O3 0.2748 0.2748 0.0000
O4 0.5000 0.0000 0.5000
O5 0.7252 0.7252 0.0000

Main lines, sorted by position (2θ = 10–80°):
2θ = 31.98°, I = 76; 2θ = 32.12°, I = 99; 2θ = 32.26°, I = 100; 2θ = 39.61°, I = 45; 2θ = 45.64°, I = 34; 2θ = 46.07°, I = 33; 2θ = 46.48°, I = 31; 2θ = 56.99°, I = 37; 2θ = 57.27°, I = 36; 2θ = 57.53°, I = 30; 2θ = 66.87°, I = 19; 2θ = 67.18°, I = 18

***

(4)
This entry pairs a crystal structure of MgTl2Pb16Br18O8 with its theoretical PXRD pattern. Radiation: Cu Ka. Structure: a structure optimized by DFT (PBE).
Peak positions follow from Bragg's law for the DFT cell and can differ from measured ones.

Atomic structure:
a = 8.5612 Å, b = 12.7563 Å, c = 12.8668 Å
α = 88.07°, β = 89.72°, γ = 88.20°
Positions (direct):
Mg1 0.0000 0.0000 0.0000
Tl1 0.3059 0.2228 0.6841
Tl2 0.9940 0.6896 0.1906
Pb1 0.0008 0.7687 0.8145
Pb2 0.0018 0.0951 0.2543
Pb3 0.0070 0.6666 0.5485
Pb4 0.2726 0.2877 0.3197
Pb5 0.2825 0.8552 0.6249
Pb6 0.2939 0.5802 0.7402
Pb7 0.2975 0.1714 0.0654
Pb8 0.4584 0.4491 0.0963
Pb9 0.4680 0.0000 0.2921
Pb10 0.4679 0.7997 0.8993
Pb11 0.4697 0.6381 0.4594
Pb12 0.8144 0.9491 0.6002
Pb13 0.8212 0.3088 0.4150
Pb14 0.8294 0.4924 0.7677
Pb15 0.8331 0.2408 0.9987
Pb16 0.9921 0.4102 0.1379
Br1 0.0294 0.0314 0.8070
Br2 0.0308 0.1036 0.5128
Br3 0.0391 0.4042 0.5552
Br4 0.0754 0.3484 0.8579
Br5 0.2448 0.8430 0.3690
Br6 0.2472 0.6036 0.9977
Br7 0.2503 0.8955 0.0602
Br8 0.2647 0.5453 0.3119
Br9 0.5131 0.1064 0.4838
Br10 0.5139 0.3506 0.8958
Br11 0.5151 0.9983 0.7915
Br12 0.5308 0.4348 0.5775
Br13 0.6356 0.2060 0.2030
Br14 0.6479 0.7159 0.6906
Br15 0.7319 0.5071 0.3007
Br16 0.7608 0.8429 0.4059
Br17 0.7706 0.5893 0.9693
Br18 0.7731 0.8991 0.0676
O1 0.0072 0.2785 0.2883
O2 0.0141 0.8264 0.6369
O3 0.0214 0.6096 0.7276
O4 0.0349 0.1277 0.0754
O5 0.2638 0.3330 0.1391
O6 0.2693 0.1185 0.2446
O7 0.2709 0.7624 0.7871
O8 0.2738 0.6728 0.5783

Main lines, sorted by position (2θ = 10–80°):
2θ = 26.07°, I = 44; 2θ = 26.25°, I = 39; 2θ = 26.51°, I = 59; 2θ = 27.37°, I = 42; 2θ = 29.13°, I = 100; 2θ = 29.44°, I = 41; 2θ = 29.56°, I = 70; 2θ = 30.12°, I = 87; 2θ = 30.74°, I = 83; 2θ = 31.76°, I = 75; 2θ = 35.82°, I = 44; 2θ = 42.25°, I = 39

***

(5)
This entry pairs a crystal structure of Eu2ZnGe3 with its theoretical PXRD pattern. Radiation: Cu Ka. Structure: a structure optimized by DFT (PBE).
Peak positions follow from Bragg's law for the DFT cell and can differ from measured ones.

Atomic structure:
a = 8.4472 Å, b = 8.4472 Å, c = 9.0340 Å
α = 90.00°, β = 90.00°, γ = 119.91°
Positions (direct):
Eu1 0.0010 0.9990 0.7575
Eu2 0.0017 0.4983 0.2500
Eu3 0.4983 0.0017 0.7500
Eu4 0.4990 0.5010 0.2575
Eu5 0.5010 0.4990 0.7425
Eu6 0.5017 0.9983 0.2500
Eu7 0.9983 0.5017 0.7500
Eu8 0.9990 0.0010 0.2425
Zn1 0.1666 0.8334 0.4678
Zn2 0.3334 0.6666 0.9678
Zn3 0.6666 0.3334 0.0322
Zn4 0.8334 0.1666 0.5322
Ge1 0.1612 0.3303 0.4740
Ge2 0.1687 0.8313 0.0334
Ge3 0.1697 0.3388 0.0260
Ge4 0.3303 0.1612 0.5260
Ge5 0.3313 0.6687 0.5334
Ge6 0.3388 0.1697 0.9740
Ge7 0.6612 0.8303 0.0260
Ge8 0.6687 0.3313 0.4666
Ge9 0.6697 0.8388 0.4740
Ge10 0.8303 0.6612 0.9740
Ge11 0.8313 0.1687 0.9666
Ge12 0.8388 0.6697 0.5260

Main lines, sorted by position (2θ = 10–80°):
2θ = 24.32°, I = 12; 2θ = 31.46°, I = 100; 2θ = 38.73°, I = 5; 2θ = 39.92°, I = 12; 2θ = 42.80°, I = 40; 2θ = 47.30°, I = 6; 2θ = 54.08°, I = 21; 2θ = 59.96°, I = 22; 2θ = 67.24°, I = 8; 2θ = 71.29°, I = 12; 2θ = 71.37°, I = 6; 2θ = 78.36°, I = 4

***

(6)
This entry pairs a crystal structure of ReH12C4O5F with its theoretical PXRD pattern. Radiation: Cu Ka. Structure: a structure optimized by DFT (PBE).
Peak positions follow from Bragg's law for the DFT cell and can differ from measured ones.

Atomic structure:
a = 6.3777 Å, b = 6.8880 Å, c = 12.7821 Å
α = 78.32°, β = 81.81°, γ = 63.52°
Positions (direct):
Re1 0.1613 0.0916 0.2325
Re2 0.8387 0.9084 0.7675
H1 0.0757 0.3431 0.8457
H2 0.0907 0.2333 0.5024
H3 0.0923 0.1369 0.9601
H4 0.1038 0.6749 0.3829
H5 0.2058 0.2380 0.6224
H6 0.2334 0.0564 0.8343
H7 0.3190 0.6651 0.6343
H8 0.3404 0.6718 0.0313
H9 0.3425 0.4888 0.1544
H10 0.3437 0.8430 0.5137
H11 0.4606 0.8387 0.6351
H12 0.4883 0.6634 0.1429
H13 0.5117 0.3366 0.8571
H14 0.5394 0.1613 0.3649
H15 0.6563 0.1570 0.4863
H16 0.6575 0.5112 0.8456
H17 0.6596 0.3282 0.9687
H18 0.6810 0.3349 0.3657
H19 0.7666 0.9436 0.1657
H20 0.7942 0.7620 0.3776
H21 0.8962 0.3251 0.6171
H22 0.9077 0.8631 0.0399
H23 0.9093 0.7667 0.4976
H24 0.9243 0.6569 0.1543
C1 0.0711 0.2112 0.5904
C2 0.0819 0.1788 0.8727
C3 0.3193 0.8247 0.6016
C4 0.3382 0.6498 0.1190
C5 0.6618 0.3502 0.8810
C6 0.6807 0.1753 0.3984
C7 0.9181 0.8212 0.1273
C8 0.9289 0.7888 0.4096
O1 0.0932 0.9919 0.6309
O2 0.1213 0.2997 0.3014
O3 0.1271 0.8215 0.1584
O4 0.3225 0.1376 0.1173
O5 0.3663 0.8566 0.3050
O6 0.6337 0.1434 0.6950
O7 0.6775 0.8624 0.8827
O8 0.8729 0.1785 0.8416
O9 0.8787 0.7003 0.6986
O10 0.9068 0.0081 0.3691
F1 0.1459 0.7645 0.8273
F2 0.8541 0.2355 0.1727

Main lines, sorted by position (2θ = 10–80°):
2θ = 14.18°, I = 100; 2θ = 14.55°, I = 89; 2θ = 15.55°, I = 36; 2θ = 16.24°, I = 49; 2θ = 16.71°, I = 42; 2θ = 17.49°, I = 41; 2θ = 18.69°, I = 32; 2θ = 18.86°, I = 40; 2θ = 20.46°, I = 28; 2θ = 24.08°, I = 27; 2θ = 29.35°, I = 24; 2θ = 30.58°, I = 27

***

(7)
This entry pairs a crystal structure of DyLu3 with its theoretical PXRD pattern. Radiation: Cu Ka. Structure: a structure optimized by DFT (PBE).
Peak positions follow from Bragg's law for the DFT cell and can differ from measured ones.

Atomic structure:
a = 7.0763 Å, b = 7.0763 Å, c = 5.5319 Å
α = 90.00°, β = 90.00°, γ = 120.00°
Positions (direct):
Dy1 0.3333 0.6667 0.2500
Dy2 0.6667 0.3333 0.7500
Lu1 0.1660 0.3319 0.7500
Lu2 0.1660 0.8340 0.7500
Lu3 0.3319 0.1660 0.2500
Lu4 0.6681 0.8340 0.7500
Lu5 0.8340 0.1660 0.2500
Lu6 0.8340 0.6681 0.2500

Main lines, sorted by position (2θ = 10–80°):
2θ = 29.14°, I = 24; 2θ = 32.37°, I = 24; 2θ = 33.43°, I = 100; 2θ = 44.11°, I = 16; 2θ = 51.67°, I = 20; 2θ = 58.41°, I = 20; 2θ = 60.42°, I = 3; 2θ = 62.30°, I = 22; 2θ = 62.95°, I = 16; 2θ = 67.76°, I = 3; 2θ = 70.23°, I = 4; 2θ = 75.41°, I = 3

***

Question: Which formula does entry 2 have?
Answer: TiNb2Zn2O8